Entry 1:
Sc4Ti3O12: simulated powder diffraction line list (copper Kα), based on a crystal structure in Alexandria, relaxed with GGA-PBE.
No peak broadening, texture or thermal motion is included.

Peak list (12 most intense, 2θ = 10–80°, sorted by position)
31.2°, 2.870 Å, intensity 100.0
31.4°, 2.853 Å, intensity 77.2
31.6°, 2.832 Å, intensity 94.5
31.8°, 2.816 Å, intensity 87.3
36.7°, 2.446 Å, intensity 20.0
52.0°, 1.760 Å, intensity 24.9
52.4°, 1.746 Å, intensity 67.2
52.6°, 1.741 Å, intensity 36.3
53.1°, 1.726 Å, intensity 59.3
62.4°, 1.489 Å, intensity 15.3
62.6°, 1.483 Å, intensity 29.4
62.9°, 1.477 Å, intensity 14.8

Structure:
```
Sc4Ti3O12
1.0
5.955 0.000 0.000
-0.980 5.942 0.000
-1.006 -1.180 5.904
Sc Ti O
4 3 12
Cartesian
0.000 0.000 0.000
-0.279 3.016 1.490
2.715 1.543 1.154
2.855 4.343 2.837
0.782 -0.152 3.149
0.682 3.100 5.162
3.347 1.519 4.321
-1.102 2.482 5.309
0.659 1.193 1.753
0.462 3.940 3.293
0.135 4.750 5.835
1.408 1.307 4.479
1.961 3.516 1.070
2.809 0.189 2.823
2.618 3.487 4.781
4.502 1.650 0.119
3.906 2.451 2.705
4.608 4.819 1.678
5.097 -0.196 4.044
```

---

Entry 2:
Sc4Ti3O12: simulated powder diffraction line list (copper Kα), based on a crystal structure in Alexandria, relaxed with GGA-PBE.
No peak broadening, texture or thermal motion is included.

Peak list (12 most intense, 2θ = 10–80°, sorted by position)
31.1°, 2.872 Å, intensity 100.0
31.3°, 2.860 Å, intensity 39.0
32.2°, 2.782 Å, intensity 44.8
36.5°, 2.459 Å, intensity 10.6
45.7°, 1.987 Å, intensity 6.2
51.9°, 1.763 Å, intensity 47.7
53.0°, 1.727 Å, intensity 34.4
53.4°, 1.715 Å, intensity 16.3
62.4°, 1.489 Å, intensity 8.5
62.6°, 1.484 Å, intensity 7.7
63.2°, 1.472 Å, intensity 6.4
63.6°, 1.462 Å, intensity 9.6

Structure:
```
Sc4Ti3O12
1.0
5.914 0.000 0.000
-0.899 6.020 0.000
-2.139 -2.366 11.782
Sc Ti O
8 6 24
Cartesian
-0.333 -0.141 4.804
0.433 1.866 2.159
-0.623 0.708 8.052
-0.474 1.933 11.167
3.350 1.721 0.614
3.499 2.946 3.730
2.443 1.788 9.623
3.209 3.794 6.977
-1.482 -1.218 10.767
0.490 2.911 5.215
0.454 4.184 8.689
2.422 -0.530 3.092
2.386 0.743 6.567
4.358 4.872 1.015
-2.401 2.681 11.347
-0.622 1.719 4.008
-1.667 0.473 9.896
-1.145 3.828 5.409
0.567 -0.326 2.371
-0.376 -1.358 8.167
1.393 2.489 0.477
0.375 1.289 6.317
0.400 -1.610 10.673
1.183 3.463 3.467
0.256 2.312 9.169
1.790 -0.203 4.832
1.086 3.857 6.950
2.621 1.342 2.613
1.693 0.191 8.315
2.476 5.263 1.109
2.501 2.365 5.464
1.483 1.164 11.305
3.253 5.011 3.615
2.309 3.980 9.411
4.021 -0.174 6.372
4.543 3.181 1.886
3.498 1.935 7.773
5.277 0.973 0.435
```

---

Please write out number 1 again, unchanged.
Sc4Ti3O12: simulated powder diffraction line list (copper Kα), based on a crystal structure in Alexandria, relaxed with GGA-PBE.
No peak broadening, texture or thermal motion is included.

Peak list (12 most intense, 2θ = 10–80°, sorted by position)
31.2°, 2.870 Å, intensity 100.0
31.4°, 2.853 Å, intensity 77.2
31.6°, 2.832 Å, intensity 94.5
31.8°, 2.816 Å, intensity 87.3
36.7°, 2.446 Å, intensity 20.0
52.0°, 1.760 Å, intensity 24.9
52.4°, 1.746 Å, intensity 67.2
52.6°, 1.741 Å, intensity 36.3
53.1°, 1.726 Å, intensity 59.3
62.4°, 1.489 Å, intensity 15.3
62.6°, 1.483 Å, intensity 29.4
62.9°, 1.477 Å, intensity 14.8

Structure:
```
Sc4Ti3O12
1.0
5.955 0.000 0.000
-0.980 5.942 0.000
-1.006 -1.180 5.904
Sc Ti O
4 3 12
Cartesian
0.000 0.000 0.000
-0.279 3.016 1.490
2.715 1.543 1.154
2.855 4.343 2.837
0.782 -0.152 3.149
0.682 3.100 5.162
3.347 1.519 4.321
-1.102 2.482 5.309
0.659 1.193 1.753
0.462 3.940 3.293
0.135 4.750 5.835
1.408 1.307 4.479
1.961 3.516 1.070
2.809 0.189 2.823
2.618 3.487 4.781
4.502 1.650 0.119
3.906 2.451 2.705
4.608 4.819 1.678
5.097 -0.196 4.044
```

---

Repeat the first record exactly.
Sc4Ti3O12: simulated powder diffraction line list (copper Kα), based on a crystal structure in Alexandria, relaxed with GGA-PBE.
No peak broadening, texture or thermal motion is included.

Peak list (12 most intense, 2θ = 10–80°, sorted by position)
31.2°, 2.870 Å, intensity 100.0
31.4°, 2.853 Å, intensity 77.2
31.6°, 2.832 Å, intensity 94.5
31.8°, 2.816 Å, intensity 87.3
36.7°, 2.446 Å, intensity 20.0
52.0°, 1.760 Å, intensity 24.9
52.4°, 1.746 Å, intensity 67.2
52.6°, 1.741 Å, intensity 36.3
53.1°, 1.726 Å, intensity 59.3
62.4°, 1.489 Å, intensity 15.3
62.6°, 1.483 Å, intensity 29.4
62.9°, 1.477 Å, intensity 14.8

Structure:
```
Sc4Ti3O12
1.0
5.955 0.000 0.000
-0.980 5.942 0.000
-1.006 -1.180 5.904
Sc Ti O
4 3 12
Cartesian
0.000 0.000 0.000
-0.279 3.016 1.490
2.715 1.543 1.154
2.855 4.343 2.837
0.782 -0.152 3.149
0.682 3.100 5.162
3.347 1.519 4.321
-1.102 2.482 5.309
0.659 1.193 1.753
0.462 3.940 3.293
0.135 4.750 5.835
1.408 1.307 4.479
1.961 3.516 1.070
2.809 0.189 2.823
2.618 3.487 4.781
4.502 1.650 0.119
3.906 2.451 2.705
4.608 4.819 1.678
5.097 -0.196 4.044
```